[1]
Starting from the GGA-PBE geometry in the Materials Project, the powder diffraction line list of Nb2SiTe4 was calculated for Cu Kα (λ = 1.5418 Å).
Peak positions follow from Bragg's law for the DFT cell and can differ from measured ones.

Most intense lines, 10 to 90 degrees two-theta, by angle:
2θ/deg  I_rel
11.54  100
23.20  27
26.65  48
28.11  24
30.72  40
32.79  76
34.25  30
38.26  54
39.13  25
41.11  22
47.42  27
48.38  33

Structural model:
```
28
Lattice="6.4038 0.0000 0.0000 0.0000 7.9687 0.0000 -4.3913 0.0000 15.3371" Properties=species:S:1:pos:R:3 pbc="T T T"
Nb -0.1629 0.2979 3.8334
Nb -2.3585 3.6865 11.5020
Nb 1.1701 5.6735 3.8346
Nb -1.0255 6.2795 11.5032
Nb 3.0380 1.6892 3.8339
Nb 0.8424 2.2952 11.5025
Nb 4.3710 4.2822 3.8352
Nb 2.1754 7.6709 11.5037
Si -1.6923 0.9990 11.5040
Si 0.5033 2.9854 3.8354
Si 1.5092 4.9834 11.5017
Si 3.7048 6.9697 3.8331
Te -3.4757 1.8648 13.3951
Te -1.2800 2.1196 5.7265
Te -3.1127 5.8451 13.3947
Te -0.9171 6.1079 5.7262
Te -0.2723 4.1196 9.6099
Te 1.9233 7.8335 1.9414
Te 0.0887 0.1347 9.6105
Te 2.2843 3.8497 1.9420
Te -0.2718 4.1190 13.3952
Te 1.9238 7.8340 5.7266
Te 0.0892 0.1352 13.3957
Te 2.2848 3.8492 5.7272
Te 2.9296 1.8608 9.6109
Te 5.1252 2.1236 1.9424
Te 3.2925 5.8491 9.6106
Te 5.4881 6.1039 1.9420
```


[2]
Starting from the GGA-PBE geometry in the Materials Project, the powder diffraction line list of Nb2SiTe4 was calculated for Cu Kα (λ = 1.5418 Å).
Peak positions follow from Bragg's law for the DFT cell and can differ from measured ones.

Most intense lines, 10 to 90 degrees two-theta, by angle:
2θ/deg  I_rel
11.13  100
22.36  22
28.28  32
29.96  25
32.00  44
32.69  24
33.19  24
34.82  36
37.13  29
37.81  26
45.63  23
47.06  34

Structural model:
```
7
Lattice="3.5660 0.0000 0.0000 0.0045 6.8951 0.0000 0.4504 2.2818 7.9518" Properties=species:S:1:pos:R:3 pbc="T T T"
Nb 3.5671 1.4530 0.0036
Nb 0.4538 7.7239 7.9482
Si 1.7853 3.4475 0.0000
Te 0.4487 5.7262 5.7865
Te 1.7808 6.8913 1.7626
Te 2.2401 2.2855 6.1892
Te 3.5722 3.4507 2.1652
```


[3]
Starting from the GGA-PBE geometry in the Materials Project, the powder diffraction line list of Nb2SiTe4 was calculated for Cu Kα (λ = 1.5418 Å).
Peak positions follow from Bragg's law for the DFT cell and can differ from measured ones.

Most intense lines, 10 to 90 degrees two-theta, by angle:
2θ/deg  I_rel
11.92  100
28.27  52
29.00  65
30.06  81
30.22  85
33.97  30
34.99  54
37.10  26
37.54  32
38.58  30
43.70  47
49.15  43

Structural model:
```
7
Lattice="3.7133 0.0000 0.0000 0.0118 6.7401 0.0000 1.3815 2.7764 7.4227" Properties=species:S:1:pos:R:3 pbc="T T T"
Nb 0.0000 0.0000 0.0000
Nb 1.8879 2.3856 0.1908
Si 3.2402 5.8778 4.2781
Te 1.4241 6.8243 6.0506
Te 1.8775 5.0720 1.5105
Te 3.2367 3.3715 5.3909
Te 3.7410 1.6977 2.1738
```


[4]
Starting from the GGA-PBE geometry in the Materials Project, the powder diffraction line list of Nb2SiTe4 was calculated for Cu Kα (λ = 1.5418 Å).
Peak positions follow from Bragg's law for the DFT cell and can differ from measured ones.

Most intense lines, 10 to 90 degrees two-theta, by angle:
2θ/deg  I_rel
13.32  100
19.73  35
23.14  50
26.81  25
29.34  18
31.91  22
33.70  17
34.02  51
37.45  17
40.06  24
41.24  23
43.52  24

Structural model:
```
14
Lattice="6.7412 0.0000 0.0000 -0.3807 9.1635 0.0000 -1.6346 -2.1942 10.5571" Properties=species:S:1:pos:R:3 pbc="T T T"
Nb 0.7981 3.6836 0.4526
Nb 0.8431 7.0384 0.5472
Nb 3.8828 -0.0691 10.0099
Nb 3.9278 3.2857 10.1045
Si 0.0000 0.0000 0.0000
Si 3.1802 4.5818 0.0000
Te -1.4604 4.9106 8.2979
Te -0.4653 5.2798 2.3770
Te -0.0941 8.3994 2.7445
Te 1.1978 -0.3690 10.3059
Te 3.5281 7.3383 0.2512
Te 4.8199 -1.4301 7.8126
Te 5.1911 1.6895 8.1801
Te 6.1862 2.0586 2.2592
```


[5]
Starting from the GGA-PBE geometry in the Materials Project, the powder diffraction line list of Nb2SiTe4 was calculated for Cu Kα (λ = 1.5418 Å).
Peak positions follow from Bragg's law for the DFT cell and can differ from measured ones.

Most intense lines, 10 to 90 degrees two-theta, by angle:
2θ/deg  I_rel
12.25  100
14.26  64
23.30  37
28.37  34
28.75  39
29.90  43
30.83  59
32.32  69
37.28  42
38.46  42
38.83  55
40.36  37

Structural model:
```
7
Lattice="4.6544 0.0000 0.0000 -0.5108 6.2669 0.0000 -2.2570 -0.9851 7.2226" Properties=species:S:1:pos:R:3 pbc="T T T"
Nb 0.9637 2.2598 0.0013
Nb 0.9229 3.0219 7.2213
Si 2.3272 0.0000 0.0000
Te -1.3973 3.4556 5.4181
Te 0.8548 4.4461 1.8065
Te 1.0318 0.8356 5.4161
Te 3.2839 1.8261 1.8045
```


[6]
Starting from the GGA-PBE geometry in the Materials Project, the powder diffraction line list of Nb2SiTe4 was calculated for Cu Kα (λ = 1.5418 Å).
Peak positions follow from Bragg's law for the DFT cell and can differ from measured ones.

Most intense lines, 10 to 90 degrees two-theta, by angle:
2θ/deg  I_rel
11.71  100
23.55  28
26.48  52
28.15  26
30.70  45
32.71  45
32.84  41
34.51  33
38.39  28
38.54  27
48.16  30
48.32  36

Structural model:
```
14
Lattice="6.3939 0.0000 0.0000 0.9793 7.8122 0.0000 0.0029 2.0419 7.7911" Properties=species:S:1:pos:R:3 pbc="T T T"
Nb 1.6414 8.1461 1.2778
Nb 2.5382 1.3567 5.1714
Nb 4.8379 8.4974 2.6197
Nb 5.7346 1.7080 6.5133
Si 0.0014 1.0210 3.8955
Si 3.1969 0.0000 0.0000
Te 1.4192 3.6392 6.4795
Te 1.7819 2.6173 2.5839
Te 2.3952 7.8223 7.4317
Te 2.7608 6.7990 3.5385
Te 4.6153 3.0551 4.2526
Te 4.9809 2.0318 0.3594
Te 5.5942 7.2368 5.2072
Te 5.9568 6.2149 1.3116
```


[7]
Starting from the GGA-PBE geometry in the Materials Project, the powder diffraction line list of NbVSi was calculated for Cu Kα (λ = 1.5418 Å).
Peak positions follow from Bragg's law for the DFT cell and can differ from measured ones.

Most intense lines, 10 to 90 degrees two-theta, by angle:
2θ/deg  I_rel
29.92  22
36.01  29
36.62  43
38.69  96
38.88  41
42.27  37
42.80  100
43.52  69
44.20  22
67.56  19
69.41  20
71.83  30

Structural model:
```
12
Lattice="8.3057 0.0000 0.0000 0.0000 2.4944 4.2284 0.0000 -2.4944 4.2284" Properties=species:S:1:pos:R:3 pbc="T T T"
Nb 1.5452 0.0000 0.0000
Nb 2.5568 0.0000 2.7749
Nb 5.7489 0.0000 2.7749
Nb 6.7606 0.0000 0.0000
V 0.0000 0.0000 4.2609
V 4.1529 -1.2811 4.8598
V 4.1529 1.2811 4.8598
V 4.1529 0.0000 7.0319
Si 0.0000 -1.2131 2.1647
Si 0.0000 1.2131 2.1647
Si 2.1138 0.0000 5.5693
Si 6.1919 0.0000 5.5693
```


[8]
Starting from the GGA-PBE geometry in the Materials Project, the powder diffraction line list of Nb2V4Si5 was calculated for Cu Kα (λ = 1.5418 Å).
Peak positions follow from Bragg's law for the DFT cell and can differ from measured ones.

Most intense lines, 10 to 90 degrees two-theta, by angle:
2θ/deg  I_rel
10.79  22
20.03  28
25.91  23
29.68  19
39.18  22
39.31  41
40.29  20
40.40  20
40.63  100
41.34  34
42.55  41
63.00  16

Structural model:
```
22
Lattice="-3.7873 8.2006 2.5670 3.7873 -8.2006 2.5670 3.7873 8.2006 -2.5670" Properties=species:S:1:pos:R:3 pbc="T T T"
Nb 3.7873 5.0996 -1.2835
Nb 0.0000 3.1010 1.2835
Nb 3.7873 5.0996 1.2835
Nb 0.0000 3.1010 3.8504
V 1.8849 1.0458 0.0000
V 4.6639 2.3136 0.0000
V 0.8767 5.8870 0.0000
V 1.8849 -1.0458 2.5670
V 1.9023 9.2465 0.0000
V 2.9106 2.3136 2.5670
V -0.8767 5.8870 2.5670
V 1.9023 7.1548 2.5670
Si 6.8706 0.9862 0.0000
Si 2.3128 3.4101 0.0000
Si 3.7873 0.0000 1.2835
Si 2.3128 -3.4101 2.5670
Si 3.0833 7.2144 0.0000
Si 0.7040 0.9862 2.5670
Si 1.4745 11.6107 0.0000
Si 0.0000 8.2006 1.2835
Si 1.4745 4.7905 2.5670
Si -3.0833 7.2144 2.5670
```


[9]
Starting from the GGA-PBE geometry in the Materials Project, the powder diffraction line list of NbVSi4 was calculated for Cu Kα (λ = 1.5418 Å).
Peak positions follow from Bragg's law for the DFT cell and can differ from measured ones.

Most intense lines, 10 to 90 degrees two-theta, by angle:
2θ/deg  I_rel
21.73  22
25.76  67
25.85  41
35.27  28
40.64  87
40.75  79
40.91  69
41.63  81
47.62  100
47.81  45
70.28  32
70.49  25

Structural model:
```
18
Lattice="4.6899 0.0000 0.0000 0.0000 13.0168 0.0000 -2.3316 0.0000 4.0925" Properties=species:S:1:pos:R:3 pbc="T T T"
Nb 0.0000 0.0000 0.0000
Nb 0.0000 6.4643 0.0000
Nb 2.3450 8.6442 0.0000
V -1.1658 4.2983 2.0463
V -1.1658 10.8391 2.0463
V 2.3450 2.1376 0.0000
Si 0.0264 8.6919 1.4049
Si 0.0330 2.1840 1.4156
Si 0.0397 6.4254 2.6836
Si 0.0310 13.0038 2.7130
Si 1.1744 10.8365 0.7546
Si 1.2045 4.2580 0.7257
Si 1.1539 4.2580 3.3669
Si 1.1840 10.8365 3.3379
Si 2.3274 13.0038 1.3795
Si 2.3186 6.4254 1.4089
Si 2.3254 2.1840 2.6769
Si 2.3319 8.6919 2.6876
```


[10]
Starting from the GGA-PBE geometry in the Materials Project, the powder diffraction line list of Nb3V3Si2 was calculated for Cu Kα (λ = 1.5418 Å).
Peak positions follow from Bragg's law for the DFT cell and can differ from measured ones.

Most intense lines, 10 to 90 degrees two-theta, by angle:
2θ/deg  I_rel
25.56  49
36.44  33
40.88  100
40.98  97
44.92  17
45.07  59
65.66  19
68.52  20
68.74  20
71.41  11
71.71  18
77.42  19

Structural model:
```
8
Lattice="3.4814 2.0100 2.8553 -3.4814 2.0100 2.8553 0.0000 -4.0200 2.8553" Properties=species:S:1:pos:R:3 pbc="T T T"
Nb -2.6047 0.4915 2.8553
Nb 0.8767 -2.5015 2.8553
Nb 1.7280 2.0100 2.8554
V -0.8681 -1.5037 4.2830
V -0.8681 1.5037 4.2830
V 1.7363 0.0000 4.2830
Si 0.0000 0.0000 2.1592
Si 0.0000 0.0000 6.4068
```


[11]
Starting from the GGA-PBE geometry in the Materials Project, the powder diffraction line list of NbSn3 was calculated for Cu Kα (λ = 1.5418 Å).
Peak positions follow from Bragg's law for the DFT cell and can differ from measured ones.

Most intense lines, 10 to 90 degrees two-theta, by angle:
2θ/deg  I_rel
32.64  31
33.02  23
36.96  100
47.12  17
58.97  17
61.11  24
68.40  4
69.05  22
69.27  3
71.67  15
78.08  4
78.70  4

Structural model:
```
8
Lattice="6.2652 0.0000 0.0000 -3.1326 5.4258 0.0000 0.0000 0.0000 5.4862" Properties=species:S:1:pos:R:3 pbc="T T T"
Nb 0.0000 3.6172 1.3715
Nb 3.1326 1.8086 4.1146
Sn 0.0000 1.8787 4.1146
Sn -1.5056 4.4864 4.1146
Sn 1.6270 0.9393 1.3715
Sn 1.5056 4.4864 4.1146
Sn 4.6382 0.9393 1.3715
Sn 3.1326 3.5471 1.3715
```


[12]
Starting from the GGA-PBE geometry in the Materials Project, the powder diffraction line list of NbSn2 was calculated for Cu Kα (λ = 1.5418 Å).
Peak positions follow from Bragg's law for the DFT cell and can differ from measured ones.

Most intense lines, 10 to 90 degrees two-theta, by angle:
2θ/deg  I_rel
29.30  17
31.54  37
32.63  43
33.15  40
34.23  43
36.19  37
37.28  64
40.88  100
57.55  17
61.96  19
65.04  21
77.43  18

Structural model:
```
12
Lattice="0.0000 4.9709 9.6580 2.8625 0.0000 9.6580 2.8625 4.9709 0.0000" Properties=species:S:1:pos:R:3 pbc="T T T"
Nb 2.1469 3.7282 0.0381
Nb 3.5781 6.2137 4.8671
Nb 2.1469 3.7282 14.4488
Nb 3.5781 6.2137 19.2778
Sn 2.1469 0.4356 7.2435
Sn 2.1469 3.7282 5.6435
Sn 3.5781 2.9210 12.0724
Sn 2.1469 3.7282 8.8434
Sn 3.5781 6.2137 10.4725
Sn 2.1469 7.0208 7.2435
Sn 3.5781 6.2137 13.6724
Sn 3.5781 9.5063 12.0724
```


What did the ninth record say?
Starting from the GGA-PBE geometry in the Materials Project, the powder diffraction line list of NbVSi4 was calculated for Cu Kα (λ = 1.5418 Å).
Peak positions follow from Bragg's law for the DFT cell and can differ from measured ones.

Most intense lines, 10 to 90 degrees two-theta, by angle:
2θ/deg  I_rel
21.73  22
25.76  67
25.85  41
35.27  28
40.64  87
40.75  79
40.91  69
41.63  81
47.62  100
47.81  45
70.28  32
70.49  25

Structural model:
```
18
Lattice="4.6899 0.0000 0.0000 0.0000 13.0168 0.0000 -2.3316 0.0000 4.0925" Properties=species:S:1:pos:R:3 pbc="T T T"
Nb 0.0000 0.0000 0.0000
Nb 0.0000 6.4643 0.0000
Nb 2.3450 8.6442 0.0000
V -1.1658 4.2983 2.0463
V -1.1658 10.8391 2.0463
V 2.3450 2.1376 0.0000
Si 0.0264 8.6919 1.4049
Si 0.0330 2.1840 1.4156
Si 0.0397 6.4254 2.6836
Si 0.0310 13.0038 2.7130
Si 1.1744 10.8365 0.7546
Si 1.2045 4.2580 0.7257
Si 1.1539 4.2580 3.3669
Si 1.1840 10.8365 3.3379
Si 2.3274 13.0038 1.3795
Si 2.3186 6.4254 1.4089
Si 2.3254 2.1840 2.6769
Si 2.3319 8.6919 2.6876
```